(1)
Simulated powder diffractogram of Mg3Ir for copper Kα, from a DFT-relaxed cell (PBE, the Materials Project).
Intensities are scaled so that the largest is 1000.

Main lines, sorted by position (10 to 80 degrees two-theta):
Position (°2θ), I (rel.)
21.40, 410
22.43, 285
24.89, 1000
39.37, 534
39.72, 637
45.24, 355
57.16, 220
71.62, 224

Atomic structure:
```
Mg3Ir
1.0
4.5774 0.0000 0.0000
-2.2887 3.9642 0.0000
0.0000 0.0000 8.3036
Mg Ir
6 2
Direct
0.0000 0.0000 0.2500
0.0000 0.0000 0.7500
0.3333 0.6667 0.0780
0.3333 0.6667 0.4220
0.6667 0.3333 0.5780
0.6667 0.3333 0.9220
0.3333 0.6667 0.7500
0.6667 0.3333 0.2500
```


(2)
Simulated powder diffractogram of GeP for copper Kα, from a DFT-relaxed cell (PBE, the Materials Project).
Intensities are scaled so that the largest is 1000.

Main lines, sorted by position (10 to 80 degrees two-theta):
Position (°2θ), I (rel.)
26.97, 1000
31.25, 150
44.77, 618
53.05, 440
55.61, 41
65.18, 98
71.88, 174
74.05, 51

Atomic structure:
```
GeP
1.0
5.7254 0.0000 0.0000
0.0000 5.7254 0.0000
0.0000 0.0000 5.7254
Ge P
4 4
Direct
0.0000 0.0000 0.0000
0.0000 0.5000 0.5000
0.5000 0.0000 0.5000
0.5000 0.5000 0.0000
0.2500 0.2500 0.7500
0.2500 0.7500 0.2500
0.7500 0.2500 0.2500
0.7500 0.7500 0.7500
```


(3)
Simulated powder diffractogram of Ca3Sn2S7 for copper Kα, from a DFT-relaxed cell (PBE, the Materials Project).
Intensities are scaled so that the largest is 1000.

Main lines, sorted by position (10 to 80 degrees two-theta):
Position (°2θ), I (rel.)
15.63, 457
16.14, 1000
27.88, 545
28.18, 926
32.42, 800
32.62, 408
35.31, 383
46.91, 583

Atomic structure:
```
Ca3Sn2S7
1.0
11.3425 0.0000 0.0000
0.0000 12.5501 0.0000
0.0000 0.0000 3.8768
Ca Sn S
6 4 14
Direct
0.0000 0.0000 0.0000
0.1098 0.3530 0.0000
0.3902 0.8530 0.0000
0.5000 0.5000 0.0000
0.6098 0.1470 0.0000
0.8902 0.6470 0.0000
0.2216 0.6092 0.5000
0.2784 0.1092 0.5000
0.7216 0.8908 0.5000
0.7784 0.3908 0.5000
0.0000 0.5000 0.5000
0.0754 0.1815 0.5000
0.1460 0.7102 0.0000
0.2020 0.9310 0.5000
0.2980 0.4310 0.5000
0.3540 0.2102 0.0000
0.4246 0.6815 0.5000
0.5000 0.0000 0.5000
0.5754 0.3185 0.5000
0.6460 0.7898 0.0000
0.7020 0.5690 0.5000
0.7980 0.0690 0.5000
0.8540 0.2898 0.0000
0.9246 0.8185 0.5000
```


(4)
Simulated powder diffractogram of FeS2 for copper Kα, from a DFT-relaxed cell (PBE, the Materials Project).
Intensities are scaled so that the largest is 1000.

Main lines, sorted by position (10 to 80 degrees two-theta):
Position (°2θ), I (rel.)
16.09, 241
16.60, 666
31.37, 95
31.92, 181
38.65, 1000
55.10, 318
56.51, 293
70.56, 143

Atomic structure:
```
FeS2
1.0
3.2570 1.8804 5.5090
-3.2570 1.8804 5.5090
0.0000 -3.7609 5.5090
Fe S
4 8
Direct
0.0000 0.0000 0.0000
0.0000 0.0000 0.5000
0.0000 0.5000 0.0000
0.5000 0.0000 0.0000
0.2314 0.7560 0.7560
0.2437 0.2437 0.2437
0.2440 0.2440 0.7686
0.2440 0.7686 0.2440
0.7560 0.2314 0.7560
0.7560 0.7560 0.2314
0.7563 0.7563 0.7563
0.7686 0.2440 0.2440
```